Entry 1:
Starting from a DFT-relaxed cell (PBE, Alexandria), the X-ray powder pattern of Ac3Hg5 was calculated for Cu Kα (weighted mean of Kα1 and Kα2).
Intensities are scaled so that the largest is 100.

Largest 6 diffraction maxima, by angle, 10° ≤ 2θ ≤ 90°:
Position (°2θ)  I_rel  (hkl)
31.59  100  2 2 1
32.09  28  0 0 2
32.41  20  0 4 0
46.26  15  0 4 2
56.89  20  2 2 3
57.30  10  2 6 1

```
Ac3Hg5
1.0
8.1795 0.0000 0.0000
0.0000 11.0481 0.0000
0.0000 0.0000 5.5783
Ac Hg
6 10
Direct
0.0000 0.0000 0.0000
0.0000 0.2949 0.5000
0.0000 0.7051 0.5000
0.5000 0.2051 0.5000
0.5000 0.5000 0.0000
0.5000 0.7949 0.5000
0.0000 0.5000 0.0000
0.2061 0.0000 0.5000
0.2500 0.2500 0.0000
0.2500 0.7500 0.0000
0.2939 0.5000 0.5000
0.5000 0.0000 0.0000
0.7061 0.5000 0.5000
0.7500 0.2500 0.0000
0.7500 0.7500 0.0000
0.7939 0.0000 0.5000
```

---

Entry 2:
Starting from a DFT-relaxed cell (PBE, Alexandria), the X-ray powder pattern of Pm3Pr4Er5 was calculated for Cu Kα (weighted mean of Kα1 and Kα2).
Intensities are scaled so that the largest is 100.

Largest 6 diffraction maxima, by angle, 10° ≤ 2θ ≤ 90°:
Position (°2θ)  I_rel  (hkl)
30.30  100  1 2 1
30.40  33  1 -2 1
35.12  45  2 0 2
35.22  22  1 2 -2
50.59  24  0 4 0
60.11  24  2 0 5

```
Pm3Pr4Er5
1.0
6.2600 0.0000 0.0000
0.0164 7.2127 0.0000
0.0066 0.0420 8.8412
Pm Pr Er
3 4 5
Direct
0.0000 0.0000 0.0000
0.4970 0.7519 0.0009
0.5030 0.2481 0.9991
0.1655 0.2479 0.3333
0.3300 0.5000 0.6674
0.6700 0.5000 0.3326
0.8345 0.7521 0.6667
0.0000 0.5000 0.0000
0.1684 0.7526 0.3331
0.3352 0.0007 0.6658
0.6648 0.9993 0.3342
0.8316 0.2474 0.6669
```